The following is a theoretical XRD peak list of Cs2VCl3F. It was derived from DFT lattice parameters and positions (GGA+U), using Cu Kα, 1.54184 Å.
Neutral-atom scattering factors, no anomalous dispersion.

Most intense lines, 5 to 70 degrees two-theta, sorted by position:
22.6 deg, d 3.933, I 58
25.4 deg, d 3.513, I 59
26.3 deg, d 3.384, I 100
30.5 deg, d 2.927, I 41
33.4 deg, d 2.680, I 82
33.8 deg, d 2.655, I 46
40.8 deg, d 2.214, I 32
41.1 deg, d 2.195, I 35
42.7 deg, d 2.118, I 29
54.2 deg, d 1.692, I 35

Atomic structure:
a = 4.3908 Å, b = 5.3104 Å, c = 17.5629 Å
α = 90.00°, β = 90.00°, γ = 90.00°
Space group Immm (No. 71)
Symmetry-distinct sites (fractional):
Cs 0.0000 0.0000 0.1470 [4 per cell]
V 0.0000 0.0000 0.5000 [2 per cell]
Cl 0.0000 0.0000 0.3536 [4 per cell]
Cl 0.0000 0.5000 0.5000 [2 per cell]
F 0.0000 0.5000 0.0000 [2 per cell]